Entry 1:
Structure and theoretical PXRD pattern of PuSn2 (a DFT-relaxed cell (PBE, Alexandria); Cu Kα, 1.54184 Å).

Atomic structure:
Cell lengths 7.563, 7.563, 4.683 Å; angles 90.00, 90.00, 144.92 degrees
Fractional positions:
Pu  0.155  0.845  0.000
Pu  0.845  0.155  0.000
Sn  0.000  0.000  0.500
Sn  0.327  0.673  0.500
Sn  0.500  0.500  0.000
Sn  0.673  0.327  0.500

Main lines, low angle first (2θ from 5° to 70°):
d 4.683, intensity 5
d 2.702, intensity 100
d 2.404, intensity 17
d 2.341, intensity 17
d 2.279, intensity 16
d 1.677, intensity 12
d 1.654, intensity 11
d 1.633, intensity 12
d 1.439, intensity 13
d 1.412, intensity 14
d 1.384, intensity 13
d 1.351, intensity 12

Entry 2:
Structure and theoretical PXRD pattern of Tb2PuSn (a DFT-relaxed cell (PBE, Alexandria); Cu Kα, 1.54184 Å).

Atomic structure:
Cell lengths 3.962, 3.962, 7.167 Å; angles 90.00, 90.00, 90.00 degrees
Fractional positions:
Tb  0.000  0.000  0.230
Tb  0.000  0.000  0.770
Pu  0.500  0.500  0.500
Sn  0.500  0.500  0.000

Main lines, low angle first (2θ from 5° to 70°):
d 7.167, intensity 3
d 3.468, intensity 10
d 2.802, intensity 59
d 2.658, intensity 100
d 1.981, intensity 22
d 1.818, intensity 4
d 1.792, intensity 7
d 1.720, intensity 3
d 1.588, intensity 43
d 1.510, intensity 17
d 1.401, intensity 7
d 1.348, intensity 3

Entry 3:
Structure and theoretical PXRD pattern of PuUTcSn (a DFT-relaxed cell (PBE, Alexandria); Cu Kα, 1.54184 Å).

Atomic structure:
Cell lengths 4.881, 4.881, 4.881 Å; angles 60.00, 60.00, 60.00 degrees
Fractional positions:
Pu  0.000  0.000  0.000
U  0.250  0.250  0.250
Tc  0.500  0.500  0.500
Sn  0.750  0.750  0.750

Main lines, low angle first (2θ from 5° to 70°):
d 3.985, intensity 14
d 2.440, intensity 100
d 2.081, intensity 8
d 1.726, intensity 18
d 1.584, intensity 4
d 1.409, intensity 37

Entry 4:
Structure and theoretical PXRD pattern of Pu2ThSn9 (a DFT-relaxed cell (PBE, Alexandria); Cu Kα, 1.54184 Å).

Atomic structure:
Cell lengths 5.755, 5.755, 10.306 Å; angles 90.00, 90.00, 110.00 degrees
Fractional positions:
Pu  0.000  0.000  0.162
Pu  0.000  0.000  0.838
Th  0.000  0.000  0.500
Sn  0.000  0.500  0.000
Sn  0.000  0.500  0.328
Sn  0.000  0.500  0.672
Sn  0.500  0.000  0.000
Sn  0.500  0.000  0.328
Sn  0.500  0.000  0.672
Sn  0.500  0.500  0.166
Sn  0.500  0.500  0.500
Sn  0.500  0.500  0.834

Main lines, low angle first (2θ from 5° to 70°):
d 5.408, intensity 16
d 2.776, intensity 100
d 2.704, intensity 94
d 2.380, intensity 66
d 2.357, intensity 32
d 1.718, intensity 12
d 1.675, intensity 46
d 1.450, intensity 29
d 1.429, intensity 14
d 1.419, intensity 14
d 1.419, intensity 27
d 1.388, intensity 12

Entry 5:
Structure and theoretical PXRD pattern of Pu2ThZn2Sn2 (a DFT-relaxed cell (PBE, Alexandria); Cu Kα, 1.54184 Å).

Atomic structure:
Cell lengths 9.463, 9.463, 9.463 Å; angles 28.49, 28.49, 28.49 degrees
Fractional positions:
Pu  0.143  0.143  0.143
Pu  0.857  0.857  0.857
Th  0.000  0.000  0.000
Zn  0.423  0.423  0.423
Zn  0.577  0.577  0.577
Sn  0.264  0.264  0.264
Sn  0.736  0.736  0.736

Main lines, low angle first (2θ from 5° to 70°):
d 9.073, intensity 12
d 3.989, intensity 34
d 2.799, intensity 100
d 2.601, intensity 30
d 2.328, intensity 74
d 1.790, intensity 28
d 1.751, intensity 15
d 1.735, intensity 9
d 1.431, intensity 13
d 1.419, intensity 26
d 1.391, intensity 9
d 1.344, intensity 13

Entry 6:
Structure and theoretical PXRD pattern of PuTiSn (a DFT-relaxed cell (PBE, Alexandria); Cu Kα, 1.54184 Å).

Atomic structure:
Cell lengths 10.327, 10.327, 3.531 Å; angles 90.00, 90.00, 161.12 degrees
Fractional positions:
Pu  0.037  0.963  0.750
Pu  0.963  0.037  0.250
Ti  0.215  0.785  0.750
Ti  0.785  0.215  0.250
Sn  0.359  0.641  0.750
Sn  0.641  0.359  0.250

Main lines, low angle first (2θ from 5° to 70°):
d 10.187, intensity 100
d 3.342, intensity 23
d 3.032, intensity 46
d 2.902, intensity 24
d 2.605, intensity 14
d 2.448, intensity 56
d 2.427, intensity 29
d 2.300, intensity 19
d 1.872, intensity 17
d 1.765, intensity 15
d 1.661, intensity 24
d 1.393, intensity 19